# CsCrO4
Theoretical powder XRD pattern, λ = 1.5418 Å (Cu Kα). Input: a PBE+U-relaxed structure.

Atomic structure:
```
data_CsCrO4
_cell_length_a 10.3440
_cell_length_b 9.0040
_cell_length_c 6.2663
_cell_angle_alpha 90.00
_cell_angle_beta 90.00
_cell_angle_gamma 90.00
_symmetry_space_group_name_H-M 'A m a 2'
_symmetry_Int_Tables_number 40
_symmetry_space_group_name_Hall 'A 2 -2a'
loop_
_atom_site_label
_atom_site_type_symbol
_atom_site_fract_x
_atom_site_fract_y
_atom_site_fract_z
Cs1 Cs 0.0000 0.0000 0.0000
Cr1 Cr 0.2500 0.0890 0.4582
O1 O 0.1182 0.1877 0.4043
O2 O 0.2500 0.0354 0.7132
O3 O 0.2500 0.4390 0.8032
```

The 12 most intense peaks (5° ≤ 2θ ≤ 70°), sorted by position:
| 2theta | Rel. int. | index |
| --- | --- | --- |
| 17.2 | 17 | 0 1 1 |
| 19.3 | 12 | 1 1 1 |
| 19.7 | 31 | 0 2 0 |
| 24.4 | 100 | 2 1 1 |
| 28.5 | 15 | 0 0 2 |
| 33.1 | 17 | 0 3 1 |
| 34.7 | 10 | 4 0 0 |
| 37.5 | 16 | 2 3 1 |
| 39.1 | 15 | 2 2 2 |
| 40.2 | 16 | 4 2 0 |
| 48.1 | 10 | 2 1 3 |
| 53.1 | 10 | 2 4 2 |



# CsCoIrO6
Theoretical powder XRD pattern, λ = 1.5418 Å (Cu Kα). Input: a PBE+U-relaxed structure.

Atomic structure:
```
data_CsCoIrO6
_cell_length_a 5.1143
_cell_length_b 5.1143
_cell_length_c 6.6634
_cell_angle_alpha 90.00
_cell_angle_beta 90.00
_cell_angle_gamma 120.00
_symmetry_space_group_name_H-M 'P 3 1 2'
_symmetry_Int_Tables_number 149
_symmetry_space_group_name_Hall 'P 3 2'
loop_
_atom_site_label
_atom_site_type_symbol
_atom_site_fract_x
_atom_site_fract_y
_atom_site_fract_z
Cs1 Cs 0.0000 0.0000 0.0000
Co1 Co 0.3333 0.6667 0.5000
Ir1 Ir 0.6667 0.3333 0.5000
O1 O 0.0039 0.3971 0.6585
```

The 12 most intense peaks (5° ≤ 2θ ≤ 70°), sorted by position:
| 2theta | Rel. int. | index |
| --- | --- | --- |
| 13.3 | 26 | 0 0 1 |
| 20.0 | 11 | 1 0 0 |
| 24.1 | 100 | 1 0 1 |
| 26.8 | 18 | 0 0 2 |
| 35.1 | 26 | 1 1 0 |
| 43.0 | 17 | 2 0 1 |
| 44.7 | 38 | 2 -1 2 |
| 45.7 | 15 | 1 0 3 |
| 56.7 | 18 | 3 -1 1 |
| 58.9 | 10 | 2 0 3 |
| 67.1 | 11 | 1 1 4 |
| 69.7 | 8 | 3 0 2 |